# AgMoAsO6
Calculated powder diffractogram, Cu Kα. Input: a structure optimized by DFT (PBE+U).
No peak broadening, texture or thermal motion is included.

```
AgMoAsO6
1.0
6.6471 0.0000 0.0000
0.0000 7.9644 0.0000
0.0000 0.0000 10.1607
Ag Mo As O
4 4 4 24
Direct
0.0206 0.1155 0.0125 Ag
0.4794 0.8845 0.5125 Ag
0.5206 0.3845 0.9875 Ag
0.9794 0.6155 0.4875 Ag
0.2388 0.7081 0.8116 Mo
0.2612 0.2919 0.3116 Mo
0.7388 0.7919 0.1884 Mo
0.7612 0.2081 0.6884 Mo
0.2452 0.6976 0.1598 As
0.2548 0.3024 0.6598 As
0.7452 0.8024 0.8402 As
0.7548 0.1976 0.3402 As
0.0408 0.8301 0.1717 O
0.0553 0.1629 0.6774 O
0.2299 0.9071 0.8820 O
0.2444 0.4053 0.5125 O
0.2455 0.5632 0.2908 O
0.2454 0.7499 0.6402 O
0.2546 0.2501 0.1402 O
0.2545 0.4368 0.7908 O
0.2556 0.5947 0.0125 O
0.2701 0.0929 0.3820 O
0.4447 0.8371 0.1774 O
0.4592 0.1699 0.6717 O
0.5408 0.6699 0.8283 O
0.5553 0.3371 0.3226 O
0.7299 0.5929 0.1180 O
0.7444 0.0947 0.4875 O
0.7454 0.7501 0.3598 O
0.7455 0.9368 0.7092 O
0.7545 0.0632 0.2092 O
0.7546 0.2499 0.8598 O
0.7556 0.9053 0.9875 O
0.7701 0.4071 0.6180 O
0.9447 0.6629 0.8226 O
0.9592 0.3301 0.3283 O
```

Peak list (10 most intense, 5° ≤ 2θ ≤ 70°, low angle first)
19.46°, I = 736, hkl 1 1 1
22.32°, I = 334, hkl 0 2 0
26.08°, I = 290, hkl 1 2 0
28.64°, I = 1000, hkl 0 1 3
30.44°, I = 581, hkl 2 1 1
31.56°, I = 319, hkl 1 2 2
32.18°, I = 482, hkl 2 0 2
51.67°, I = 262, hkl 2 3 3
54.15°, I = 263, hkl 0 0 6
55.28°, I = 311, hkl 4 0 0